1.
Starting from a DFT-relaxed cell (PBE, Alexandria), the X-ray powder pattern of CeNbMoC3 was simulated for a wavelength of 1.5418 Å.
Intensities are scaled so that the largest is 100.

Cell lengths 5.6399, 3.3023, 8.4482 Å; angles 90.00, 102.30, 90.00 degrees
Sites, in units of the cell vectors:
1 Ce 0.1425 0.2500 0.1942
2 Ce 0.8575 0.7500 0.8058
3 Nb 0.2665 0.7500 0.5454
4 Nb 0.7335 0.2500 0.4546
5 Mo 0.3778 0.2500 0.8635
6 Mo 0.6222 0.7500 0.1365
7 C 0.0673 0.2500 0.6576
8 C 0.2633 0.7500 0.9806
9 C 0.4665 0.7500 0.3443
10 C 0.5335 0.2500 0.6557
11 C 0.7367 0.2500 0.0194
12 C 0.9327 0.7500 0.3424

Largest 10 diffraction maxima, in order of rising 2θ, 10° ≤ 2θ ≤ 90°:
| two_theta | d (Å) | I/Imax |
| --- | --- | --- |
| 31.98 | 2.799 | 44.2 |
| 32.53 | 2.752 | 43.0 |
| 33.15 | 2.702 | 19.0 |
| 34.58 | 2.594 | 92.8 |
| 36.46 | 2.464 | 100.0 |
| 43.20 | 2.094 | 22.6 |
| 52.27 | 1.750 | 13.7 |
| 55.67 | 1.651 | 18.2 |
| 57.40 | 1.605 | 13.5 |
| 66.34 | 1.409 | 13.2 |

***

2.
Starting from a DFT-relaxed cell (PBE, Alexandria), the X-ray powder pattern of CeUMoC3 was simulated for a wavelength of 1.5418 Å.
Intensities are scaled so that the largest is 100.

Cell lengths 7.2973, 3.4127, 7.9413 Å; angles 90.00, 93.13, 90.00 degrees
Sites, in units of the cell vectors:
1 Ce 0.1462 0.2500 0.1703
2 Ce 0.8538 0.7500 0.8297
3 U 0.3776 0.7500 0.8323
4 U 0.6224 0.2500 0.1677
5 Mo 0.1171 0.2500 0.5849
6 Mo 0.8829 0.7500 0.4151
7 C 0.1504 0.2500 0.8491
8 C 0.1711 0.7500 0.4487
9 C 0.4098 0.7500 0.1107
10 C 0.5902 0.2500 0.8893
11 C 0.8289 0.2500 0.5513
12 C 0.8496 0.7500 0.1509

Largest 10 diffraction maxima, in order of rising 2θ, 10° ≤ 2θ ≤ 90°:
| two_theta | d (Å) | I/Imax |
| --- | --- | --- |
| 11.16 | 7.929 | 33.8 |
| 16.06 | 5.518 | 55.9 |
| 26.36 | 3.381 | 28.6 |
| 27.50 | 3.244 | 32.6 |
| 28.47 | 3.135 | 51.8 |
| 32.45 | 2.759 | 44.9 |
| 33.92 | 2.643 | 39.6 |
| 34.33 | 2.612 | 31.9 |
| 34.68 | 2.586 | 74.3 |
| 36.06 | 2.491 | 100.0 |

***

3.
Starting from a DFT-relaxed cell (PBE, Alexandria), the X-ray powder pattern of Ce2C2N5 was simulated for a wavelength of 1.5418 Å.
Intensities are scaled so that the largest is 100.

Cell lengths 4.0050, 7.0801, 8.0601 Å; angles 67.34, 80.38, 74.02 degrees
Sites, in units of the cell vectors:
1 Ce 0.1459 0.1698 0.0625
2 Ce 0.8541 0.8302 0.9375
3 C 0.0025 0.5116 0.6500
4 C 0.9975 0.4884 0.3500
5 N 0.0000 0.5000 0.5000
6 N 0.0012 0.5292 0.7927
7 N 0.3007 0.9739 0.8848
8 N 0.6993 0.0261 0.1152
9 N 0.9988 0.4708 0.2073

Largest 10 diffraction maxima, in order of rising 2θ, 10° ≤ 2θ ≤ 90°:
| two_theta | d (Å) | I/Imax |
| --- | --- | --- |
| 11.93 | 7.420 | 100.0 |
| 21.42 | 4.149 | 29.8 |
| 23.16 | 3.841 | 17.6 |
| 23.99 | 3.710 | 10.1 |
| 24.13 | 3.688 | 10.3 |
| 26.26 | 3.394 | 11.9 |
| 29.79 | 3.000 | 21.7 |
| 29.87 | 2.991 | 11.3 |
| 31.99 | 2.798 | 12.5 |
| 33.54 | 2.672 | 11.7 |

***

4.
Starting from a DFT-relaxed cell (PBE, Alexandria), the X-ray powder pattern of CeC3N6 was simulated for a wavelength of 1.5418 Å.
Intensities are scaled so that the largest is 100.

Cell lengths 6.6248, 6.6248, 6.6248 Å; angles 116.45, 116.45, 116.45 degrees
Sites, in units of the cell vectors:
1 Ce 0.0000 0.0000 0.0000
2 C 0.2894 0.2894 0.7397
3 C 0.2894 0.7397 0.2894
4 C 0.7397 0.2894 0.2894
5 N 0.1636 0.1636 0.7968
6 N 0.1636 0.7968 0.1636
7 N 0.4096 0.4096 0.6719
8 N 0.4096 0.6719 0.4096
9 N 0.6719 0.4096 0.4096
10 N 0.7968 0.1636 0.1636

Largest 10 diffraction maxima, in order of rising 2θ, 10° ≤ 2θ ≤ 90°:
| two_theta | d (Å) | I/Imax |
| --- | --- | --- |
| 15.74 | 5.632 | 100.0 |
| 25.20 | 3.534 | 27.1 |
| 27.43 | 3.252 | 11.5 |
| 29.85 | 2.993 | 27.5 |
| 31.78 | 2.816 | 27.2 |
| 33.91 | 2.643 | 33.7 |
| 40.98 | 2.202 | 24.0 |
| 42.47 | 2.129 | 13.8 |
| 47.16 | 1.927 | 15.9 |
| 48.95 | 1.861 | 10.8 |